For Ce14PuPb, a structure optimized by DFT (PBE) gives the calculated powder XRD pattern in this record (Cu Kα, 1.54184 Å).
Lines closer than 0.1° are merged.

Main lines, in order of rising 2θ (10° ≤ 2θ ≤ 90°):
2θ/deg	I/Imax
32.83	100
38.09	50
54.97	35
65.53	41
68.84	12
81.54	4

Atomic structure:
Lattice parameters (Å, degrees): 9.458 6.678 6.678 89.97 90.00 90.00
Sites, in units of the cell vectors:
Ce 0.000 0.000 0.000
Ce 0.000 0.000 0.501
Ce 0.000 0.499 0.499
Ce 0.000 0.501 0.000
Ce 0.250 0.246 0.246
Ce 0.250 0.246 0.754
Ce 0.250 0.753 0.753
Ce 0.250 0.754 0.246
Ce 0.500 0.001 0.500
Ce 0.500 0.500 0.001
Ce 0.750 0.246 0.246
Ce 0.750 0.246 0.754
Ce 0.750 0.753 0.753
Ce 0.750 0.754 0.246
Pu 0.500 0.500 0.500
Pb 0.500 0.000 0.000